This entry pairs a crystal structure of TlHgBiAu2 with its theoretical powder diffraction line list. Radiation: Cu Kα, 1.54184 Å. Structure: DFT lattice parameters and positions (GGA-PBE).
Neutral-atom scattering factors, no anomalous dispersion.

```
data_TlHgBiAu2
_chemical_formula_sum 'Tl2 Hg2 Bi2 Au4'
_space_group_name_H-M_alt 'P 1'
_space_group_IT_number 1
_space_group_name_Hall 'P 1'
_cell_length_a 7.6361
_cell_length_b 7.6361
_cell_length_c 8.9521
_cell_angle_alpha 121.20
_cell_angle_beta 121.20
_cell_angle_gamma 38.17
loop_
_atom_site_label
_atom_site_fract_x
_atom_site_fract_y
_atom_site_fract_z
Tl1 0.2281 0.2281 0.1145
Tl2 0.7719 0.7719 0.8855
Hg1 0.4537 0.4537 0.1377
Hg2 0.5463 0.5463 0.8623
Bi1 0.1194 0.1194 0.3781
Bi2 0.8806 0.8806 0.6219
Au1 0.1010 0.1010 0.6956
Au2 0.3154 0.3154 0.7407
Au3 0.6846 0.6846 0.2593
Au4 0.8990 0.8990 0.3044
```

Top 10 peaks for 10 to 90 degrees two-theta, sorted by position:
- 2θ 20.38, d 4.357, intensity 42
- 2θ 23.77, d 3.744, intensity 23
- 2θ 24.69, d 3.605, intensity 20
- 2θ 35.97, d 2.497, intensity 66
- 2θ 36.12, d 2.487, intensity 82
- 2θ 36.94, d 2.434, intensity 37
- 2θ 37.19, d 2.417, intensity 100
- 2θ 37.75, d 2.383, intensity 44
- 2θ 53.14, d 1.724, intensity 34
- 2θ 64.77, d 1.439, intensity 25

---

This entry pairs a crystal structure of Y3As2Rh6 with its theoretical powder diffraction line list. Radiation: Cu Kα, 1.54184 Å. Structure: DFT lattice parameters and positions (GGA-PBE).
Neutral-atom scattering factors, no anomalous dispersion.

```
data_Y3As2Rh6
_chemical_formula_sum 'Y6 As4 Rh12'
_space_group_name_H-M_alt 'P 1'
_space_group_IT_number 1
_space_group_name_Hall 'P 1'
_cell_length_a 8.0320
_cell_length_b 8.0320
_cell_length_c 8.0320
_cell_angle_alpha 109.47
_cell_angle_beta 109.47
_cell_angle_gamma 109.47
loop_
_atom_site_label
_atom_site_fract_x
_atom_site_fract_y
_atom_site_fract_z
Y1 0.0000 0.2811 0.2811
Y2 0.0000 0.7189 0.7189
Y3 0.2811 0.0000 0.2811
Y4 0.2811 0.2811 0.0000
Y5 0.7189 0.0000 0.7189
Y6 0.7189 0.7189 0.0000
As1 0.0000 0.0000 0.5000
As2 0.0000 0.5000 0.0000
As3 0.5000 0.0000 0.0000
As4 0.5000 0.5000 0.5000
Rh1 0.0000 0.3458 0.6542
Rh2 0.0000 0.6542 0.3458
Rh3 0.3083 0.6542 0.6542
Rh4 0.3458 0.0000 0.6542
Rh5 0.3458 0.3458 0.6917
Rh6 0.3458 0.6542 0.0000
Rh7 0.3458 0.6917 0.3458
Rh8 0.6542 0.0000 0.3458
Rh9 0.6542 0.3083 0.6542
Rh10 0.6542 0.3458 0.0000
Rh11 0.6542 0.6542 0.3083
Rh12 0.6917 0.3458 0.3458
```

Top 10 peaks for 10 to 90 degrees two-theta, sorted by position:
- 2θ 13.50, d 6.558, intensity 28
- 2θ 33.47, d 2.677, intensity 16
- 2θ 36.24, d 2.479, intensity 29
- 2θ 41.30, d 2.186, intensity 100
- 2θ 43.65, d 2.074, intensity 15
- 2θ 61.65, d 1.505, intensity 9
- 2θ 66.92, d 1.398, intensity 13
- 2θ 70.32, d 1.339, intensity 8
- 2θ 75.30, d 1.262, intensity 22
- 2θ 84.95, d 1.142, intensity 13

---

This entry pairs a crystal structure of Nd5Sm12Tm2 with its theoretical powder diffraction line list. Radiation: Cu Kα, 1.54184 Å. Structure: DFT lattice parameters and positions (GGA-PBE).
Neutral-atom scattering factors, no anomalous dispersion.

```
data_Nd5Sm12Tm2
_chemical_formula_sum 'Nd5 Sm12 Tm2'
_space_group_name_H-M_alt 'P 1'
_space_group_IT_number 1
_space_group_name_Hall 'P 1'
_cell_length_a 13.8140
_cell_length_b 13.8140
_cell_length_c 13.8140
_cell_angle_alpha 158.52
_cell_angle_beta 136.35
_cell_angle_gamma 49.15
loop_
_atom_site_label
_atom_site_fract_x
_atom_site_fract_y
_atom_site_fract_z
Nd1 0.0000 0.0000 0.0000
Nd2 0.1984 0.1984 0.0000
Nd3 0.3016 0.8016 0.5000
Nd4 0.6984 0.1984 0.5000
Nd5 0.8016 0.8016 0.0000
Sm1 0.0562 0.3035 0.7527
Sm2 0.0992 0.5992 0.5000
Sm3 0.1571 0.9033 0.2538
Sm4 0.3504 0.0967 0.2538
Sm5 0.4033 0.4033 0.0000
Sm6 0.4492 0.6965 0.7527
Sm7 0.5508 0.3035 0.2473
Sm8 0.5967 0.5967 0.0000
Sm9 0.6496 0.9033 0.7462
Sm10 0.8429 0.0967 0.7462
Sm11 0.9008 0.4008 0.5000
Sm12 0.9438 0.6965 0.2473
Tm1 0.2351 0.5000 0.7351
Tm2 0.7649 0.5000 0.2649
```

Top 10 peaks for 10 to 90 degrees two-theta, sorted by position:
- 2θ 30.34, d 2.946, intensity 100
- 2θ 34.90, d 2.571, intensity 34
- 2θ 35.74, d 2.513, intensity 16
- 2θ 50.18, d 1.818, intensity 12
- 2θ 50.81, d 1.797, intensity 23
- 2θ 59.73, d 1.548, intensity 15
- 2θ 59.83, d 1.546, intensity 14
- 2θ 60.89, d 1.521, intensity 13
- 2θ 63.13, d 1.473, intensity 12
- 2θ 82.72, d 1.167, intensity 11

---

This entry pairs a crystal structure of Er4Ga12Cu with its theoretical powder diffraction line list. Radiation: Cu Kα, 1.54184 Å. Structure: DFT lattice parameters and positions (GGA-PBE).
Neutral-atom scattering factors, no anomalous dispersion.

```
data_Er4Ga12Cu
_chemical_formula_sum 'Er4 Ga12 Cu1'
_space_group_name_H-M_alt 'P 1'
_space_group_IT_number 1
_space_group_name_Hall 'P 1'
_cell_length_a 7.4396
_cell_length_b 7.4396
_cell_length_c 7.4396
_cell_angle_alpha 109.47
_cell_angle_beta 109.47
_cell_angle_gamma 109.47
loop_
_atom_site_label
_atom_site_fract_x
_atom_site_fract_y
_atom_site_fract_z
Er1 0.0000 0.0000 0.5000
Er2 0.0000 0.5000 0.0000
Er3 0.5000 0.0000 0.0000
Er4 0.5000 0.5000 0.5000
Ga1 0.0000 0.2913 0.2913
Ga2 0.0000 0.7087 0.7087
Ga3 0.2500 0.5000 0.7500
Ga4 0.2500 0.7500 0.5000
Ga5 0.2913 0.0000 0.2913
Ga6 0.2913 0.2913 0.0000
Ga7 0.5000 0.2500 0.7500
Ga8 0.5000 0.7500 0.2500
Ga9 0.7087 0.0000 0.7087
Ga10 0.7087 0.7087 0.0000
Ga11 0.7500 0.2500 0.5000
Ga12 0.7500 0.5000 0.2500
Cu1 0.0000 0.0000 0.0000
```

Top 10 peaks for 10 to 90 degrees two-theta, sorted by position:
- 2θ 20.68, d 4.295, intensity 12
- 2θ 29.41, d 3.037, intensity 29
- 2θ 36.22, d 2.480, intensity 100
- 2θ 42.07, d 2.148, intensity 58
- 2θ 47.32, d 1.921, intensity 9
- 2θ 52.16, d 1.754, intensity 9
- 2θ 61.02, d 1.519, intensity 35
- 2θ 69.16, d 1.358, intensity 8
- 2θ 73.06, d 1.295, intensity 31
- 2θ 76.89, d 1.240, intensity 10

---

This entry pairs a crystal structure of CsAgSnSe2 with its theoretical powder diffraction line list. Radiation: Cu Kα, 1.54184 Å. Structure: DFT lattice parameters and positions (GGA-PBE).
Neutral-atom scattering factors, no anomalous dispersion.

```
data_CsAgSnSe2
_chemical_formula_sum 'Cs2 Ag2 Sn2 Se4'
_space_group_name_H-M_alt 'P 1'
_space_group_IT_number 1
_space_group_name_Hall 'P 1'
_cell_length_a 8.6764
_cell_length_b 8.6764
_cell_length_c 6.2876
_cell_angle_alpha 90.00
_cell_angle_beta 90.00
_cell_angle_gamma 130.50
loop_
_atom_site_label
_atom_site_fract_x
_atom_site_fract_y
_atom_site_fract_z
Cs1 0.2500 0.7500 0.7666
Cs2 0.7500 0.2500 0.2334
Ag1 0.0000 0.0000 0.0000
Ag2 0.5000 0.5000 0.0000
Sn1 0.2500 0.2500 0.5000
Sn2 0.7500 0.7500 0.5000
Se1 0.1174 0.8826 0.2668
Se2 0.3826 0.6174 0.2668
Se3 0.6174 0.3826 0.7332
Se4 0.8826 0.1174 0.7332
```

Top 10 peaks for 10 to 90 degrees two-theta, sorted by position:
- 2θ 11.23, d 7.879, intensity 33
- 2θ 24.51, d 3.633, intensity 33
- 2θ 25.27, d 3.525, intensity 100
- 2θ 28.38, d 3.145, intensity 31
- 2θ 30.61, d 2.921, intensity 100
- 2θ 34.13, d 2.627, intensity 31
- 2θ 36.56, d 2.458, intensity 60
- 2θ 43.60, d 2.076, intensity 23
- 2θ 44.97, d 2.016, intensity 42
- 2θ 50.24, d 1.816, intensity 22

---

This entry pairs a crystal structure of Nd3Ho6Tl with its theoretical powder diffraction line list. Radiation: Cu Kα, 1.54184 Å. Structure: DFT lattice parameters and positions (GGA-PBE).
Neutral-atom scattering factors, no anomalous dispersion.

```
data_Nd3Ho6Tl
_chemical_formula_sum 'Nd6 Ho12 Tl2'
_space_group_name_H-M_alt 'P 1'
_space_group_IT_number 1
_space_group_name_Hall 'P 1'
_cell_length_a 12.9651
_cell_length_b 3.5741
_cell_length_c 14.5229
_cell_angle_alpha 90.00
_cell_angle_beta 108.62
_cell_angle_gamma 90.00
loop_
_atom_site_label
_atom_site_fract_x
_atom_site_fract_y
_atom_site_fract_z
Nd1 0.0097 0.2500 0.3960
Nd2 0.3770 0.2500 0.0003
Nd3 0.4663 0.2500 0.5922
Nd4 0.5337 0.7500 0.4078
Nd5 0.6230 0.7500 0.9997
Nd6 0.9903 0.7500 0.6040
Ho1 0.1371 0.7500 0.0231
Ho2 0.1441 0.2500 0.8108
Ho3 0.2170 0.2500 0.5999
Ho4 0.2514 0.7500 0.3939
Ho5 0.3313 0.2500 0.2183
Ho6 0.3828 0.7500 0.7897
Ho7 0.6172 0.2500 0.2103
Ho8 0.6687 0.7500 0.7817
Ho9 0.7486 0.2500 0.6061
Ho10 0.7830 0.7500 0.4001
Ho11 0.8559 0.7500 0.1892
Ho12 0.8629 0.2500 0.9769
Tl1 0.0764 0.2500 0.1924
Tl2 0.9236 0.7500 0.8076
```

Top 10 peaks for 10 to 90 degrees two-theta, sorted by position:
- 2θ 31.12, d 2.874, intensity 18
- 2θ 31.79, d 2.815, intensity 81
- 2θ 32.26, d 2.775, intensity 100
- 2θ 32.52, d 2.753, intensity 86
- 2θ 33.65, d 2.663, intensity 30
- 2θ 49.29, d 1.849, intensity 20
- 2θ 51.11, d 1.787, intensity 20
- 2θ 59.68, d 1.549, intensity 21
- 2θ 61.76, d 1.502, intensity 18
- 2θ 61.91, d 1.499, intensity 20

---

This entry pairs a crystal structure of MgZnCrIn2 with its theoretical powder diffraction line list. Radiation: Cu Kα, 1.54184 Å. Structure: DFT lattice parameters and positions (GGA-PBE).
Neutral-atom scattering factors, no anomalous dispersion.

```
data_MgZnCrIn2
_chemical_formula_sum 'Mg1 Zn1 Cr1 In2'
_space_group_name_H-M_alt 'P 1'
_space_group_IT_number 1
_space_group_name_Hall 'P 1'
_cell_length_a 4.9268
_cell_length_b 4.9268
_cell_length_c 4.7246
_cell_angle_alpha 90.00
_cell_angle_beta 90.00
_cell_angle_gamma 90.00
loop_
_atom_site_label
_atom_site_fract_x
_atom_site_fract_y
_atom_site_fract_z
Mg1 0.0000 0.0000 0.0000
Zn1 0.0000 0.0000 0.5000
Cr1 0.5000 0.5000 0.0000
In1 0.0000 0.5000 0.5000
In2 0.5000 0.0000 0.5000
```

Top 10 peaks for 10 to 90 degrees two-theta, sorted by position:
- 2θ 18.78, d 4.725, intensity 79
- 2θ 26.13, d 3.410, intensity 29
- 2θ 31.92, d 2.804, intensity 100
- 2θ 36.47, d 2.463, intensity 88
- 2θ 38.09, d 2.362, intensity 39
- 2θ 41.33, d 2.184, intensity 43
- 2θ 52.54, d 1.742, intensity 29
- 2θ 53.76, d 1.705, intensity 55
- 2θ 62.80, d 1.480, intensity 26
- 2θ 66.72, d 1.402, intensity 28

---

This entry pairs a crystal structure of Bi with its theoretical powder diffraction line list. Radiation: Cu Kα, 1.54184 Å. Structure: DFT lattice parameters and positions (GGA-PBE).
Neutral-atom scattering factors, no anomalous dispersion.

```
data_Bi
_chemical_formula_sum 'Bi8'
_space_group_name_H-M_alt 'P 1'
_space_group_IT_number 1
_space_group_name_Hall 'P 1'
_cell_length_a 8.9767
_cell_length_b 8.9767
_cell_length_c 8.9767
_cell_angle_alpha 92.08
_cell_angle_beta 92.08
_cell_angle_gamma 158.03
loop_
_atom_site_label
_atom_site_fract_x
_atom_site_fract_y
_atom_site_fract_z
Bi1 0.0928 0.6491 0.7419
Bi2 0.3509 0.0928 0.4437
Bi3 0.3552 0.6175 0.9727
Bi4 0.3825 0.3552 0.7377
Bi5 0.6175 0.6448 0.2623
Bi6 0.6448 0.3825 0.0273
Bi7 0.6491 0.9072 0.5563
Bi8 0.9072 0.3509 0.2581
```

Top 10 peaks for 10 to 90 degrees two-theta, sorted by position:
- 2θ 27.03, d 3.299, intensity 25
- 2θ 28.65, d 3.116, intensity 100
- 2θ 30.66, d 2.916, intensity 62
- 2θ 32.12, d 2.787, intensity 46
- 2θ 33.95, d 2.641, intensity 60
- 2θ 39.80, d 2.265, intensity 22
- 2θ 40.97, d 2.203, intensity 28
- 2θ 45.00, d 2.014, intensity 40
- 2θ 61.88, d 1.499, intensity 24
- 2θ 66.36, d 1.409, intensity 28

---

This entry pairs a crystal structure of LiNd2Cd2 with its theoretical powder diffraction line list. Radiation: Cu Kα, 1.54184 Å. Structure: DFT lattice parameters and positions (GGA-PBE).
Neutral-atom scattering factors, no anomalous dispersion.

```
data_LiNd2Cd2
_chemical_formula_sum 'Li2 Nd4 Cd4'
_space_group_name_H-M_alt 'P 1'
_space_group_IT_number 1
_space_group_name_Hall 'P 1'
_cell_length_a 8.4409
_cell_length_b 8.4409
_cell_length_c 8.4409
_cell_angle_alpha 135.97
_cell_angle_beta 60.09
_cell_angle_gamma 141.23
loop_
_atom_site_label
_atom_site_fract_x
_atom_site_fract_y
_atom_site_fract_z
Li1 0.2500 0.2500 0.0000
Li2 0.7500 0.7500 0.0000
Nd1 0.1794 0.1853 0.3647
Nd2 0.3206 0.6853 0.0059
Nd3 0.6794 0.3147 0.9941
Nd4 0.8206 0.8147 0.6353
Cd1 0.0791 0.6589 0.7380
Cd2 0.4209 0.1589 0.5798
Cd3 0.5791 0.8411 0.4202
Cd4 0.9209 0.3411 0.2620
```

Top 10 peaks for 10 to 90 degrees two-theta, sorted by position:
- 2θ 28.20, d 3.164, intensity 16
- 2θ 31.94, d 2.802, intensity 36
- 2θ 32.50, d 2.755, intensity 100
- 2θ 33.08, d 2.708, intensity 42
- 2θ 33.78, d 2.653, intensity 9
- 2θ 43.12, d 2.098, intensity 11
- 2θ 53.58, d 1.711, intensity 10
- 2θ 57.28, d 1.608, intensity 19
- 2θ 61.20, d 1.514, intensity 10
- 2θ 63.75, d 1.460, intensity 12

---

This entry pairs a crystal structure of CrMo4Pt with its theoretical powder diffraction line list. Radiation: Cu Kα, 1.54184 Å. Structure: DFT lattice parameters and positions (GGA-PBE).
Neutral-atom scattering factors, no anomalous dispersion.

```
data_CrMo4Pt
_chemical_formula_sum 'Cr1 Mo4 Pt1'
_space_group_name_H-M_alt 'P 1'
_space_group_IT_number 1
_space_group_name_Hall 'P 1'
_cell_length_a 5.1661
_cell_length_b 5.1661
_cell_length_c 5.1661
_cell_angle_alpha 60.00
_cell_angle_beta 60.00
_cell_angle_gamma 60.00
loop_
_atom_site_label
_atom_site_fract_x
_atom_site_fract_y
_atom_site_fract_z
Cr1 0.0000 0.0000 0.0000
Mo1 0.3743 0.3743 0.3743
Mo2 0.3743 0.3743 0.8772
Mo3 0.3743 0.8772 0.3743
Mo4 0.8772 0.3743 0.3743
Pt1 0.7500 0.7500 0.7500
```

Top 10 peaks for 10 to 90 degrees two-theta, sorted by position:
- 2θ 21.06, d 4.218, intensity 12
- 2θ 24.37, d 3.653, intensity 13
- 2θ 34.73, d 2.583, intensity 33
- 2θ 40.97, d 2.203, intensity 100
- 2θ 42.88, d 2.109, intensity 34
- 2θ 62.25, d 1.491, intensity 12
- 2θ 66.50, d 1.406, intensity 31
- 2θ 73.30, d 1.292, intensity 24
- 2θ 87.57, d 1.114, intensity 11
- 2θ 88.84, d 1.101, intensity 13

---

This entry pairs a crystal structure of Tl4Zn5 with its theoretical powder diffraction line list. Radiation: Cu Kα, 1.54184 Å. Structure: DFT lattice parameters and positions (GGA-PBE).
Neutral-atom scattering factors, no anomalous dispersion.

```
data_Tl4Zn5
_chemical_formula_sum 'Tl4 Zn5'
_space_group_name_H-M_alt 'P 1'
_space_group_IT_number 1
_space_group_name_Hall 'P 1'
_cell_length_a 7.0201
_cell_length_b 7.0201
_cell_length_c 7.0201
_cell_angle_alpha 96.52
_cell_angle_beta 96.52
_cell_angle_gamma 140.61
loop_
_atom_site_label
_atom_site_fract_x
_atom_site_fract_y
_atom_site_fract_z
Tl1 0.0000 0.3120 0.3120
Tl2 0.0000 0.6880 0.6880
Tl3 0.3120 0.0000 0.3120
Tl4 0.6880 0.0000 0.6880
Zn1 0.0000 0.0000 0.0000
Zn2 0.3533 0.3533 0.7066
Zn3 0.3533 0.6467 0.0000
Zn4 0.6467 0.3533 0.0000
Zn5 0.6467 0.6467 0.2934
```

Top 10 peaks for 10 to 90 degrees two-theta, sorted by position:
- 2θ 26.98, d 3.305, intensity 17
- 2θ 28.49, d 3.133, intensity 27
- 2θ 34.47, d 2.602, intensity 100
- 2θ 38.03, d 2.366, intensity 21
- 2θ 40.96, d 2.203, intensity 28
- 2θ 56.47, d 1.630, intensity 14
- 2θ 57.13, d 1.612, intensity 21
- 2θ 66.44, d 1.407, intensity 15
- 2θ 70.45, d 1.337, intensity 17
- 2θ 72.67, d 1.301, intensity 9